Entry 1:
Structure and simulated PXRD pattern of Lu3AlNi8 (a structure optimized by DFT (PBE); CuKα).
Peak positions follow from Bragg's law for the DFT cell and can differ from measured ones.

Main lines, by intensity (5 to 70 degrees two-theta):
35.1 deg, I = 100, hkl 1 0 5
42.8 deg, I = 99, hkl 1 1 4
36.0 deg, I = 63, hkl 1 1 0
42.2 deg, I = 46, hkl 2 0 1
45.3 deg, I = 45, hkl 2 0 3
64.1 deg, I = 34, hkl 2 1 5
69.4 deg, I = 23, hkl 3 0 4
41.8 deg, I = 22, hkl 2 0 0
68.8 deg, I = 18, hkl 2 0 9
30.6 deg, I = 17, hkl 1 0 4

Structure:
abc: 4.9938 4.9938 15.8416
angles: 90.00 90.00 120.00
Space group P6_3/mmc (No. 194)
Unique sites:
Lu 0.3333 0.6667 0.0438 x4
Lu 0.3333 0.6667 0.2500 x2
Al 0.0000 0.0000 0.0000 x2
Ni 0.0000 0.0000 0.2500 x2
Ni 0.1692 0.3385 0.6249 x12
Ni 0.3333 0.6667 0.7500 x2



Entry 2:
Structure and simulated PXRD pattern of LuAl8Ni3 (a structure optimized by DFT (PBE); CuKα).
Peak positions follow from Bragg's law for the DFT cell and can differ from measured ones.

Main lines, by intensity (5 to 70 degrees two-theta):
35.7 deg, I = 100, hkl 2 1 1
40.8 deg, I = 75, hkl 1 1 5
32.3 deg, I = 70, hkl 1 1 3
12.1 deg, I = 70, hkl 0 0 2
17.8 deg, I = 50, hkl 1 0 2
39.2 deg, I = 48, hkl 1 0 6
39.8 deg, I = 42, hkl 2 1 3
26.2 deg, I = 41, hkl 2 0 0
46.9 deg, I = 39, hkl 0 2 0
38.5 deg, I = 31, hkl 0 1 5

Structure:
abc: 6.7991 3.8744 14.6412
angles: 90.00 90.00 90.00
Space group Amm2 (No. 38)
Unique sites:
Lu 0.0000 0.0000 0.0000 x2
Al 0.0000 0.0000 0.8007 x2
Al 0.2099 0.0000 0.1939 x4
Al 0.2677 0.0000 0.3698 x4
Al 0.3073 0.0000 0.5630 x4
Al 0.5000 0.0000 0.9407 x2
Ni 0.0000 0.0000 0.6413 x2
Ni 0.5000 0.0000 0.1039 x2
Ni 0.5000 0.0000 0.7510 x2



Entry 3:
Structure and simulated PXRD pattern of Lu2AlNi2 (a structure optimized by DFT (PBE); CuKα).
Peak positions follow from Bragg's law for the DFT cell and can differ from measured ones.

Main lines, by intensity (5 to 70 degrees two-theta):
35.4 deg, I = 100, hkl 1 1 2
27.5 deg, I = 79, hkl 1 1 0
40.3 deg, I = 47, hkl 0 2 2
39.9 deg, I = 45, hkl 1 0 3
41.8 deg, I = 36, hkl 1 2 1
37.1 deg, I = 31, hkl 0 1 3
44.4 deg, I = 30, hkl 2 0 0
59.2 deg, I = 28, hkl 0 1 5
61.5 deg, I = 27, hkl 2 2 2
56.2 deg, I = 16, hkl 1 3 0

Structure:
abc: 4.0813 5.3624 8.1433
angles: 90.00 90.00 90.00
Space group Immm (No. 71)
Unique sites:
Lu 0.0000 0.0000 0.2031 x4
Al 0.0000 0.5000 0.0000 x2
Ni 0.0000 0.2712 0.5000 x4



Entry 4:
Structure and simulated PXRD pattern of Lu4Al2O9 (a structure optimized by DFT (PBE); CuKα).
Peak positions follow from Bragg's law for the DFT cell and can differ from measured ones.

Main lines, by intensity (5 to 70 degrees two-theta):
30.2 deg, I = 100, hkl 2 2 -1
30.9 deg, I = 62, hkl 0 2 3
31.1 deg, I = 37, hkl 0 3 2
19.0 deg, I = 36, hkl 0 1 2
12.0 deg, I = 27, hkl 0 1 1
50.6 deg, I = 22, hkl 4 0 -2
26.9 deg, I = 19, hkl 0 1 3
50.5 deg, I = 17, hkl 2 4 2
34.8 deg, I = 17, hkl 0 4 0
51.0 deg, I = 17, hkl 2 4 -4

Structure:
abc: 7.2162 10.3068 11.0498
angles: 90.00 108.07 90.00
Space group P2_1/c (No. 14)
Unique sites:
Lu 0.0842 0.1168 0.4102 x4
Lu 0.2334 0.6122 0.7152 x4
Lu 0.2752 0.0961 0.8051 x4
Lu 0.4074 0.6290 0.0596 x4
Al 0.0882 0.6816 0.3873 x4
Al 0.4502 0.1759 0.1244 x4
O 0.0261 0.5228 0.3313 x4
O 0.0336 0.2278 0.7484 x4
O 0.1170 0.7398 0.5423 x4
O 0.1892 0.0067 0.6072 x4
O 0.3119 0.2357 0.9758 x4
O 0.3224 0.7306 0.3859 x4
O 0.3326 0.0009 0.3911 x4
O 0.4339 0.0083 0.1439 x4
O 0.4764 0.2418 0.7702 x4



Entry 5:
Structure and simulated PXRD pattern of Lu4Al2O9 (a structure optimized by DFT (PBE); CuKα).
Peak positions follow from Bragg's law for the DFT cell and can differ from measured ones.

Main lines, by intensity (5 to 70 degrees two-theta):
30.2 deg, I = 100, hkl 2 2 -1
30.8 deg, I = 63, hkl 0 2 3
18.9 deg, I = 35, hkl 0 1 2
31.0 deg, I = 34, hkl 0 3 2
12.0 deg, I = 28, hkl 0 1 1
50.6 deg, I = 21, hkl 4 0 -2
26.9 deg, I = 19, hkl 0 1 3
50.9 deg, I = 19, hkl 2 4 -4
50.4 deg, I = 18, hkl 2 4 2
34.7 deg, I = 18, hkl 0 4 0

Structure:
abc: 7.2187 10.3359 11.0587
angles: 90.00 108.11 90.00
Space group P2_1/c (No. 14)
Unique sites:
Lu 0.0215 0.0988 0.3037 x4
Lu 0.1617 0.6212 0.5843 x4
Lu 0.3401 0.1260 0.9385 x4
Lu 0.4768 0.6122 0.2175 x4
Al 0.2135 0.1777 0.6269 x4
Al 0.3442 0.6744 0.8889 x4
O 0.0680 0.2338 0.4784 x4
O 0.0777 0.5071 0.3930 x4
O 0.2080 0.7402 0.2522 x4
O 0.2116 0.0119 0.6543 x4
O 0.2326 0.2412 0.2716 x4
O 0.3043 0.5121 0.8406 x4
O 0.3611 0.7301 0.0424 x4
O 0.4319 0.2434 0.6131 x4
O 0.4362 0.5081 0.6081 x4